# 1
For TbNdY2Se6, a cell relaxed with GGA-PBE gives the computed powder diffraction line list in this record (Cu Kα X-rays).

Cell and atoms:
Cell lengths 7.759, 7.759, 7.759 Å; angles 56.06, 56.06, 56.06 degrees
Sites, in units of the cell vectors:
Tb 0.000 0.000 0.000
Nd 0.504 0.504 0.504
Y 0.305 0.305 0.305
Y 0.802 0.802 0.802
Se 0.092 0.404 0.705
Se 0.191 0.917 0.593
Se 0.404 0.705 0.092
Se 0.593 0.191 0.917
Se 0.705 0.092 0.404
Se 0.917 0.593 0.191

Most intense lines, 2θ = 10–90°, in order of rising 2θ:
16.71 deg, rel. 49
23.01 deg, rel. 50
28.04 deg, rel. 85
33.79 deg, rel. 38
37.00 deg, rel. 100
42.13 deg, rel. 33
42.97 deg, rel. 68
48.78 deg, rel. 35

=====

# 2
For TbNd2ZnSe5, a cell relaxed with GGA-PBE gives the computed powder diffraction line list in this record (Cu Kα X-rays).

Cell and atoms:
Cell lengths 9.146, 9.146, 12.503 Å; angles 90.00, 90.00, 154.53 degrees
Sites, in units of the cell vectors:
Tb 0.197 0.803 0.500
Tb 0.803 0.197 0.000
Nd 0.115 0.885 0.168
Nd 0.130 0.870 0.803
Nd 0.870 0.130 0.303
Nd 0.885 0.115 0.668
Zn 0.449 0.551 0.931
Zn 0.551 0.449 0.431
Se 0.040 0.960 0.540
Se 0.290 0.710 0.162
Se 0.316 0.684 0.836
Se 0.356 0.644 0.488
Se 0.494 0.506 0.256
Se 0.506 0.494 0.756
Se 0.644 0.356 0.988
Se 0.684 0.316 0.336
Se 0.710 0.290 0.662
Se 0.960 0.040 0.040

Most intense lines, 2θ = 10–90°, in order of rising 2θ:
23.56 deg, rel. 19
26.75 deg, rel. 19
30.91 deg, rel. 46
31.27 deg, rel. 100
36.57 deg, rel. 49
40.08 deg, rel. 17
44.96 deg, rel. 25
55.56 deg, rel. 17

=====

# 3
For Nd7Te4Se4, a cell relaxed with GGA-PBE gives the computed powder diffraction line list in this record (Cu Kα X-rays).

Cell and atoms:
Cell lengths 11.504, 11.504, 11.504 Å; angles 96.06, 96.06, 142.06 degrees
Sites, in units of the cell vectors:
Nd 0.000 0.283 0.283
Nd 0.000 0.717 0.717
Nd 0.117 0.500 0.617
Nd 0.248 0.248 0.000
Nd 0.283 0.000 0.283
Nd 0.291 0.291 0.581
Nd 0.291 0.709 0.000
Nd 0.500 0.117 0.617
Nd 0.500 0.883 0.383
Nd 0.709 0.291 0.000
Nd 0.709 0.709 0.419
Nd 0.717 0.000 0.717
Nd 0.752 0.752 0.000
Nd 0.883 0.500 0.383
Te 0.128 0.128 0.257
Te 0.128 0.872 0.000
Te 0.324 0.500 0.824
Te 0.500 0.324 0.824
Te 0.500 0.676 0.176
Te 0.676 0.500 0.176
Te 0.872 0.128 0.000
Te 0.872 0.872 0.743
Se 0.101 0.601 0.202
Se 0.101 0.899 0.500
Se 0.399 0.601 0.500
Se 0.399 0.899 0.798
Se 0.601 0.101 0.202
Se 0.601 0.399 0.500
Se 0.899 0.101 0.500
Se 0.899 0.399 0.798

Most intense lines, 2θ = 10–90°, in order of rising 2θ:
23.80 deg, rel. 23
30.14 deg, rel. 37
31.44 deg, rel. 100
34.45 deg, rel. 12
34.99 deg, rel. 16
35.46 deg, rel. 31
46.91 deg, rel. 33
48.70 deg, rel. 14

=====

# 4
For Nd6Te2Se3, a cell relaxed with GGA-PBE gives the computed powder diffraction line list in this record (Cu Kα X-rays).

Cell and atoms:
Cell lengths 21.466, 21.466, 21.466 Å; angles 11.33, 11.33, 11.33 degrees
Sites, in units of the cell vectors:
Nd 0.080 0.080 0.080
Nd 0.189 0.189 0.189
Nd 0.361 0.361 0.361
Nd 0.639 0.639 0.639
Nd 0.811 0.811 0.811
Nd 0.920 0.920 0.920
Te 0.445 0.445 0.445
Te 0.555 0.555 0.555
Se 0.000 0.000 0.000
Se 0.279 0.279 0.279
Se 0.721 0.721 0.721

Most intense lines, 2θ = 10–90°, in order of rising 2θ:
28.76 deg, rel. 100
31.26 deg, rel. 17
39.54 deg, rel. 15
42.66 deg, rel. 45
43.09 deg, rel. 21
52.27 deg, rel. 19
68.96 deg, rel. 14
69.68 deg, rel. 16

=====

# 5
For Nd4Te3Se, a cell relaxed with GGA-PBE gives the computed powder diffraction line list in this record (Cu Kα X-rays).

Cell and atoms:
Cell lengths 7.720, 7.720, 4.396 Å; angles 90.00, 90.00, 109.09 degrees
Sites, in units of the cell vectors:
Nd 0.225 0.225 0.500
Nd 0.235 0.765 0.000
Nd 0.765 0.235 0.000
Nd 0.775 0.775 0.500
Te 0.000 0.500 0.500
Te 0.500 0.000 0.500
Te 0.500 0.500 0.000
Se 0.000 0.000 0.000

Most intense lines, 2θ = 10–90°, in order of rising 2θ:
28.43 deg, rel. 100
40.28 deg, rel. 12
40.62 deg, rel. 49
41.06 deg, rel. 13
50.01 deg, rel. 12
50.67 deg, rel. 13
66.58 deg, rel. 20
74.51 deg, rel. 8

=====

# 6
For Nd3ThSe4, a cell relaxed with GGA-PBE gives the computed powder diffraction line list in this record (Cu Kα X-rays).

Cell and atoms:
Cell lengths 4.146, 4.146, 28.692 Å; angles 90.00, 90.00, 120.00 degrees
Sites, in units of the cell vectors:
Nd 0.000 0.000 0.000
Nd 0.000 0.000 0.500
Nd 0.333 0.667 0.124
Nd 0.333 0.667 0.376
Nd 0.667 0.333 0.624
Nd 0.667 0.333 0.876
Th 0.333 0.667 0.750
Th 0.667 0.333 0.250
Se 0.000 0.000 0.186
Se 0.000 0.000 0.314
Se 0.000 0.000 0.686
Se 0.000 0.000 0.814
Se 0.333 0.667 0.562
Se 0.333 0.667 0.938
Se 0.667 0.333 0.062
Se 0.667 0.333 0.438

Most intense lines, 2θ = 10–90°, in order of rising 2θ:
26.52 deg, rel. 32
29.34 deg, rel. 100
31.15 deg, rel. 67
40.23 deg, rel. 29
42.85 deg, rel. 38
43.67 deg, rel. 67
50.90 deg, rel. 25
69.28 deg, rel. 34

=====

# 7
For Nd3Th2Se6, a cell relaxed with GGA-PBE gives the computed powder diffraction line list in this record (Cu Kα X-rays).

Cell and atoms:
Cell lengths 7.265, 7.265, 7.271 Å; angles 99.62, 99.62, 120.23 degrees
Sites, in units of the cell vectors:
Nd 0.000 0.000 0.000
Nd 0.336 0.664 0.000
Nd 0.664 0.336 0.000
Th 0.165 0.835 0.500
Th 0.835 0.165 0.500
Se 0.092 0.419 0.256
Se 0.256 0.256 0.739
Se 0.419 0.092 0.256
Se 0.581 0.908 0.744
Se 0.744 0.744 0.261
Se 0.908 0.581 0.744

Most intense lines, 2θ = 10–90°, in order of rising 2θ:
26.01 deg, rel. 12
30.16 deg, rel. 100
43.09 deg, rel. 38
43.25 deg, rel. 37
53.48 deg, rel. 14
71.02 deg, rel. 17
71.25 deg, rel. 17
79.11 deg, rel. 13

=====

# 8
For NdTh5Se6, a cell relaxed with GGA-PBE gives the computed powder diffraction line list in this record (Cu Kα X-rays).

Cell and atoms:
Cell lengths 7.287, 7.287, 7.279 Å; angles 99.59, 99.59, 119.88 degrees
Sites, in units of the cell vectors:
Nd 0.000 0.000 0.000
Th 0.166 0.834 0.500
Th 0.333 0.667 0.000
Th 0.500 0.500 0.500
Th 0.667 0.333 0.000
Th 0.834 0.166 0.500
Se 0.083 0.416 0.249
Se 0.250 0.250 0.751
Se 0.416 0.083 0.249
Se 0.584 0.917 0.751
Se 0.750 0.750 0.249
Se 0.917 0.584 0.751

Most intense lines, 2θ = 10–90°, in order of rising 2θ:
25.95 deg, rel. 28
30.04 deg, rel. 100
42.99 deg, rel. 76
50.88 deg, rel. 15
53.37 deg, rel. 20
70.76 deg, rel. 18
70.88 deg, rel. 18
78.84 deg, rel. 18

=====

Please write out number 5 again, unchanged.
For Nd4Te3Se, a cell relaxed with GGA-PBE gives the computed powder diffraction line list in this record (Cu Kα X-rays).

Cell and atoms:
Cell lengths 7.720, 7.720, 4.396 Å; angles 90.00, 90.00, 109.09 degrees
Sites, in units of the cell vectors:
Nd 0.225 0.225 0.500
Nd 0.235 0.765 0.000
Nd 0.765 0.235 0.000
Nd 0.775 0.775 0.500
Te 0.000 0.500 0.500
Te 0.500 0.000 0.500
Te 0.500 0.500 0.000
Se 0.000 0.000 0.000

Most intense lines, 2θ = 10–90°, in order of rising 2θ:
28.43 deg, rel. 100
40.28 deg, rel. 12
40.62 deg, rel. 49
41.06 deg, rel. 13
50.01 deg, rel. 12
50.67 deg, rel. 13
66.58 deg, rel. 20
74.51 deg, rel. 8